Structure and simulated PXRD pattern of P2H38PtC12N6 (DFT lattice parameters and positions (PBE); copper Kα).
Intensities are scaled so that the largest is 1000.

Principal peaks in the range 2θ from 10° to 90°, low angle first:
- d = 7.279 Å, 2θ 12.2, intensity 449, hkl 0 1 0
- d = 7.012 Å, 2θ 12.6, intensity 1000, hkl 1 1 0
- d = 6.851 Å, 2θ 12.9, intensity 780, hkl 1 0 0
- d = 6.638 Å, 2θ 13.3, intensity 897, hkl 1 0 1
- d = 6.178 Å, 2θ 14.3, intensity 883, hkl 0 1 -1
- d = 5.200 Å, 2θ 17.1, intensity 380, hkl 1 1 -1
- d = 4.152 Å, 2θ 21.4, intensity 320, hkl 1 -1 1
- d = 4.086 Å, 2θ 21.8, intensity 425, hkl 2 1 1

Structure:
Cell: 8.2351 8.3822 10.1650 Å, 87.69 73.19 61.00°
Space group P-1 (No. 2)
Asymmetric unit:
P (0.1089, 0.3097, 0.3040) [2 per cell]
H (0.0495, 0.1319, 0.0703) [2 per cell]
H (0.0586, 0.6799, 0.2229) [2 per cell]
H (0.1010, 0.9771, 0.1959) [2 per cell]
H (0.1373, 0.9577, 0.3778) [2 per cell]
H (0.1405, 0.8943, 0.8133) [2 per cell]
H (0.1605, 0.3299, 0.5616) [2 per cell]
H (0.1743, 0.2756, 0.9922) [2 per cell]
H (0.2331, 0.0188, 0.4916) [2 per cell]
H (0.2654, 0.5879, 0.0715) [2 per cell]
H (0.2969, 0.5558, 0.2386) [2 per cell]
H (0.3057, 0.4736, 0.7043) [2 per cell]
H (0.3069, 0.5761, 0.5479) [2 per cell]
H (0.3336, 0.3667, 0.9498) [2 per cell]
H (0.3517, 0.6608, 0.6838) [2 per cell]
H (0.3920, 0.8317, 0.3564) [2 per cell]
H (0.4014, 0.0680, 0.7400) [2 per cell]
H (0.4082, 0.1517, 0.0175) [2 per cell]
H (0.4713, 0.8551, 0.8112) [2 per cell]
H (0.4799, 0.1404, 0.3727) [2 per cell]
Pt (0.0000, 0.5000, 0.5000) [1 per cell]
C (0.0077, 0.8882, 0.8220) [2 per cell]
C (0.2049, 0.5618, 0.1761) [2 per cell]
C (0.2626, 0.9692, 0.3833) [2 per cell]
C (0.2649, 0.6055, 0.6609) [2 per cell]
C (0.2832, 0.2900, 0.0249) [2 per cell]
C (0.4858, 0.0773, 0.2764) [2 per cell]
N (0.0571, 0.7414, 0.7191) [2 per cell]
N (0.2003, 0.3905, 0.1632) [2 per cell]
N (0.2999, 0.0888, 0.2848) [2 per cell]